[1]
Calculated X-ray diffraction stick pattern of KC2N3 for λ = 1.5418 Å (Cu Kα), from the GGA-PBE geometry in Alexandria.

Principal peaks in the range 2θ from 10° to 90°, sorted by position:
two_theta	intensity
26.11	12.8
26.75	32.0
29.40	100.0
31.24	32.5
31.80	10.4
34.80	34.5
42.03	19.4
48.86	23.8

Structure:
```
KC2N3
1.0
8.4408 0.0000 0.0000
0.0000 6.6665 0.0000
0.0000 0.0000 7.4620
K C N
4 8 12
direct
0.1807 0.2500 0.0000
0.1807 0.2500 0.5000
0.8193 0.7500 0.0000
0.8193 0.7500 0.5000
0.1814 0.7317 0.2500
0.1814 0.7683 0.7500
0.4400 0.6527 0.7500
0.4400 0.8473 0.2500
0.5600 0.1527 0.7500
0.5600 0.3473 0.2500
0.8186 0.2317 0.2500
0.8186 0.2683 0.7500
0.0730 0.6183 0.2500
0.0730 0.8817 0.7500
0.2869 0.6271 0.7500
0.2869 0.8729 0.2500
0.4202 0.1553 0.7500
0.4202 0.3447 0.2500
0.5798 0.6553 0.7500
0.5798 0.8447 0.2500
0.7131 0.1271 0.7500
0.7131 0.3729 0.2500
0.9270 0.1183 0.2500
0.9270 0.3817 0.7500
```

[2]
Calculated X-ray diffraction stick pattern of K3CN2 for λ = 1.5418 Å (Cu Kα), from the GGA-PBE geometry in Alexandria.

Principal peaks in the range 2θ from 10° to 90°, sorted by position:
two_theta	intensity
14.50	51.8
20.51	36.4
24.54	100.0
29.24	10.8
30.44	23.7
38.48	31.4
39.05	25.4
44.50	16.8

Structure:
```
K3CN2
1.0
3.9952 2.3066 8.6613
-3.9952 2.3066 8.6613
0.0000 -4.6133 8.6613
K C N
6 2 4
direct
0.1216 0.7500 0.3784
0.2500 0.6216 0.8784
0.3784 0.1216 0.7500
0.6216 0.8784 0.2500
0.7500 0.3784 0.1216
0.8784 0.2500 0.6216
0.0000 0.0000 0.0000
0.5000 0.5000 0.5000
0.0480 0.0480 0.0480
0.4520 0.4520 0.4520
0.5480 0.5480 0.5480
0.9520 0.9520 0.9520
```

[3]
Calculated X-ray diffraction stick pattern of K2CN3 for λ = 1.5418 Å (Cu Kα), from the GGA-PBE geometry in Alexandria.

Principal peaks in the range 2θ from 10° to 90°, sorted by position:
two_theta	intensity
26.33	15.4
28.56	94.9
31.16	100.0
35.73	32.6
42.78	48.6
52.25	15.0
62.40	15.3
68.36	17.3

Structure:
```
K2CN3
1.0
6.2498 0.0000 0.0000
-3.1249 5.4125 0.0000
0.0000 0.0000 6.7703
K C N
4 2 6
direct
0.0000 0.0000 0.0000
0.0000 0.0000 0.5000
0.3333 0.6667 0.2482
0.6667 0.3333 0.7518
0.3333 0.6667 0.7502
0.6667 0.3333 0.2498
0.2105 0.4209 0.7503
0.2105 0.7895 0.7503
0.4209 0.2105 0.2497
0.5791 0.7895 0.7503
0.7895 0.2105 0.2497
0.7895 0.5791 0.2497
```

[4]
Calculated X-ray diffraction stick pattern of KNdCN2 for λ = 1.5418 Å (Cu Kα), from the GGA-PBE geometry in Alexandria.

Principal peaks in the range 2θ from 10° to 90°, sorted by position:
two_theta	intensity
15.57	86.5
22.26	100.0
27.71	43.0
27.85	83.2
31.45	37.2
32.06	39.8
42.50	50.4
42.78	49.1

Structure:
```
KNdCN2
1.0
3.9042 0.0000 0.0000
0.0000 5.6047 0.0000
-0.0129 0.0000 5.6899
K Nd C N
1 1 1 2
direct
0.0000 0.0000 0.0000
0.5000 0.5000 0.5000
0.0000 0.0000 0.5000
0.0000 0.2207 0.5000
0.0000 0.7793 0.5000
```

[5]
Calculated X-ray diffraction stick pattern of KCNO for λ = 1.5418 Å (Cu Kα), from the GGA-PBE geometry in Alexandria.

Principal peaks in the range 2θ from 10° to 90°, sorted by position:
two_theta	intensity
20.42	9.6
28.86	18.2
29.21	17.1
32.27	100.0
34.80	10.3
35.03	10.0
41.52	14.9
69.95	9.0

Structure:
```
KCNO
1.0
7.2023 0.0000 0.0000
0.0000 6.1150 0.0000
0.0000 0.0000 6.1876
K C N O
4 4 4 4
direct
0.0000 0.0000 0.0000
0.0000 0.5000 0.5000
0.5000 0.0000 0.0000
0.5000 0.5000 0.5000
0.2500 0.0042 0.5089
0.2500 0.4958 0.0089
0.7500 0.5042 0.0089
0.7500 0.9958 0.5089
0.2500 0.1420 0.6465
0.2500 0.3580 0.1465
0.7500 0.6420 0.1465
0.7500 0.8580 0.6465
0.2500 0.6381 0.8681
0.2500 0.8619 0.3681
0.7500 0.1381 0.3681
0.7500 0.3619 0.8681
```

[6]
Calculated X-ray diffraction stick pattern of K2C7N4O for λ = 1.5418 Å (Cu Kα), from the GGA-PBE geometry in Alexandria.

Principal peaks in the range 2θ from 10° to 90°, sorted by position:
two_theta	intensity
11.05	45.5
12.16	34.6
24.46	80.8
26.36	100.0
26.73	32.5
26.86	28.8
28.35	27.2
31.37	23.8

Structure:
```
K2C7N4O
1.0
4.1798 0.0000 0.0000
-0.3232 8.1038 0.0000
-1.4623 -2.2925 14.5571
K C N O
4 14 8 2
direct
0.1840 0.3924 0.1215
0.3132 0.6275 0.6232
0.6868 0.3725 0.3767
0.8160 0.6076 0.8785
0.0018 0.1760 0.6796
0.0905 0.9935 0.3470
0.1238 0.7149 0.3779
0.2012 0.2509 0.7629
0.3265 0.9757 0.8198
0.3400 0.1502 0.8287
0.4848 0.7642 0.0911
0.5152 0.2358 0.9089
0.6600 0.8498 0.1713
0.6735 0.0243 0.1802
0.7988 0.7491 0.2371
0.8762 0.2851 0.6221
0.9095 0.0065 0.6530
0.9982 0.8240 0.3204
0.1726 0.1351 0.3708
0.2282 0.6204 0.4248
0.3244 0.8293 0.8152
0.3383 0.6910 0.0240
0.6617 0.3090 0.9760
0.6756 0.1707 0.1848
0.7718 0.3796 0.5752
0.8274 0.8649 0.6292
0.2536 0.4092 0.7790
0.7464 0.5908 0.2210
```